Starting from a PBE+U-relaxed structure, the X-ray diffraction stick pattern of Sr4CaMn2Ga2O11 was calculated for Cu Kα, 1.54184 Å.
Lines closer than 0.1° are merged.

Top 10 peaks for 2θ = 15–90°, in order of falling intensity:
index	Position (°2θ)	I_rel
1 1 3	32.71	1000
1 -1 2	30.83	709
2 0 0	32.86	489
-1 1 3	38.08	394
1 1 -2	33.27	363
2 2 1	44.51	357
2 -2 0	48.44	281
0 0 5	50.02	216
3 -1 3	59.65	177
4 0 1	67.88	160

Atomic structure:
Cell: 5.5410 5.5419 9.3796 Å, 80.01 80.14 85.42°
Fractional coordinates of all 20 atoms:
Sr (0.0000, 0.0000, 0.0000)
Sr (0.0896, 0.0941, 0.5838)
Sr (0.5242, 0.5247, 0.9768)
Sr (0.6522, 0.6574, 0.5777)
Ca (0.4265, 0.4239, 0.3590)
Mn (0.4479, 0.9653, 0.2010)
Mn (0.9661, 0.4473, 0.2010)
Ga (0.0695, 0.5717, 0.7723)
Ga (0.5701, 0.0711, 0.7721)
O (0.0629, 0.4632, 0.9766)
O (0.1764, 0.1752, 0.2885)
O (0.1781, 0.5744, 0.5647)
O (0.2287, 0.6877, 0.1917)
O (0.3212, 0.8202, 0.7693)
O (0.4641, 0.0621, 0.9772)
O (0.5775, 0.1746, 0.5628)
O (0.6887, 0.2284, 0.1914)
O (0.7068, 0.7061, 0.2443)
O (0.8145, 0.3251, 0.7686)
O (0.8190, 0.8204, 0.7741)